# 1
Theoretical powder diffractogram of CaZnSiO5 for copper Kα, from a structure optimized by DFT (PBE).
Kinematic intensities with the Lorentz-polarization factor, no thermal factor.

Structural model:
Cell: 8.5251 8.5251 5.4632 Å, 94.10 94.10 145.58°
Fractional positions:
Ca 0.0714 0.9286 0.5000
Ca 0.9286 0.0714 0.0000
Zn 0.4005 0.9009 0.8722
Zn 0.9009 0.4005 0.3722
Si 0.5153 0.7923 0.3890
Si 0.7923 0.5153 0.8890
O 0.1760 0.4677 0.2992
O 0.3277 0.3686 0.7585
O 0.3686 0.3277 0.2585
O 0.4677 0.1760 0.7992
O 0.5744 0.9887 0.2192
O 0.6148 0.9334 0.6884
O 0.7205 0.8168 0.3227
O 0.8168 0.7205 0.8227
O 0.9334 0.6148 0.1884
O 0.9887 0.5744 0.7192

The 12 most intense peaks (15 to 90 degrees two-theta), by intensity:
- 2θ = 32.26°, intensity 100
- 2θ = 27.14°, intensity 95
- 2θ = 35.09°, intensity 60
- 2θ = 22.22°, intensity 50
- 2θ = 38.40°, intensity 36
- 2θ = 58.41°, intensity 35
- 2θ = 33.82°, intensity 33
- 2θ = 57.05°, intensity 31
- 2θ = 19.98°, intensity 26
- 2θ = 62.24°, intensity 24
- 2θ = 24.48°, intensity 24
- 2θ = 45.33°, intensity 23

***

# 2
Theoretical powder diffractogram of La2Sn8Pd for copper Kα, from a structure optimized by DFT (PBE).
Kinematic intensities with the Lorentz-polarization factor, no thermal factor.

Structural model:
Cell: 4.8186 4.8186 12.6517 Å, 90.00 90.00 90.00°
Fractional positions:
La 0.0000 0.0000 0.1862
La 0.0000 0.0000 0.8138
Sn 0.0000 0.5000 0.0000
Sn 0.0000 0.5000 0.3772
Sn 0.0000 0.5000 0.6228
Sn 0.5000 0.0000 0.0000
Sn 0.5000 0.0000 0.3772
Sn 0.5000 0.0000 0.6228
Sn 0.5000 0.5000 0.1916
Sn 0.5000 0.5000 0.8084
Pd 0.0000 0.0000 0.5000

The 12 most intense peaks (15 to 90 degrees two-theta), by intensity:
- 2θ = 33.82°, intensity 100
- 2θ = 37.32°, intensity 53
- 2θ = 65.06°, intensity 46
- 2θ = 29.78°, intensity 28
- 2θ = 52.44°, intensity 21
- 2θ = 89.29°, intensity 21
- 2θ = 53.81°, intensity 19
- 2θ = 35.48°, intensity 16
- 2θ = 66.12°, intensity 11
- 2θ = 62.72°, intensity 7
- 2θ = 58.14°, intensity 7
- 2θ = 38.85°, intensity 7

***

# 3
Theoretical powder diffractogram of Er2Mg5Cd for copper Kα, from a structure optimized by DFT (PBE).
Kinematic intensities with the Lorentz-polarization factor, no thermal factor.

Structural model:
Cell: 6.7313 6.7313 5.0160 Å, 90.00 90.00 90.00°
Fractional positions:
Er 0.0000 0.5000 0.0000
Er 0.5000 0.0000 0.0000
Mg 0.0000 0.0000 0.0000
Mg 0.2850 0.2850 0.5000
Mg 0.2850 0.7150 0.5000
Mg 0.7150 0.2850 0.5000
Mg 0.7150 0.7150 0.5000
Cd 0.0000 0.0000 0.5000

The 12 most intense peaks (15 to 90 degrees two-theta), by intensity:
- 2θ = 25.80°, intensity 100
- 2θ = 46.34°, intensity 38
- 2θ = 26.48°, intensity 37
- 2θ = 32.02°, intensity 36
- 2θ = 37.80°, intensity 31
- 2θ = 53.05°, intensity 23
- 2θ = 18.64°, intensity 20
- 2θ = 35.80°, intensity 20
- 2θ = 45.08°, intensity 18
- 2θ = 74.29°, intensity 11
- 2θ = 66.96°, intensity 11
- 2θ = 61.28°, intensity 10